# 1
Calculated powder diffraction line list
Compound: PmSnH
Radiation: Cu Ka
Structure: DFT lattice parameters and positions (PBE)

Atomic structure:
Unit cell a=4.288 b=4.393 c=6.557 alpha=90.00 beta=109.02 gamma=90.00
Fractional coordinates of all 6 atoms:
Pm: 0.158 0.250 0.314
Pm: 0.842 0.750 0.686
Sn: 0.425 0.250 0.854
Sn: 0.575 0.750 0.146
H: 0.255 0.750 0.509
H: 0.745 0.250 0.491

Main lines, sorted by position (2θ = 10–90°):
2θ/deg	I/Imax
28.81	11
30.01	100
35.45	36
36.47	29
41.09	18
42.14	22
51.73	14
56.21	31
60.32	17
71.89	10


# 2
Calculated powder diffraction line list
Compound: Nb3SeICl6
Radiation: Cu Ka
Structure: DFT lattice parameters and positions (PBE)

Atomic structure:
Unit cell a=7.039 b=7.039 c=6.682 alpha=90.00 beta=90.00 gamma=120.00
Fractional coordinates of all 11 atoms:
Nb: 0.059 0.530 0.000
Nb: 0.470 0.530 0.000
Nb: 0.470 0.941 0.000
Se: 0.333 0.667 0.288
I: 0.667 0.333 0.738
Cl: 0.170 0.339 0.766
Cl: 0.170 0.830 0.766
Cl: 0.337 0.168 0.191
Cl: 0.661 0.830 0.766
Cl: 0.832 0.168 0.191
Cl: 0.832 0.663 0.191

Main lines, sorted by position (2θ = 10–90°):
2θ/deg	I/Imax
13.25	80
14.53	55
19.71	40
32.28	100
37.10	15
39.09	15
40.04	58
41.45	20
50.77	22
51.96	23


# 3
Calculated powder diffraction line list
Compound: LiNiAgTeS2
Radiation: Cu Ka
Structure: DFT lattice parameters and positions (PBE)

Atomic structure:
Unit cell a=7.213 b=7.213 c=10.295 alpha=90.00 beta=90.00 gamma=153.36
Fractional coordinates of all 12 atoms:
Li: 0.218 0.782 0.750
Li: 0.782 0.218 0.250
Ni: 0.500 0.500 0.000
Ni: 0.500 0.500 0.500
Ag: 0.128 0.872 0.250
Ag: 0.872 0.128 0.750
Te: 0.438 0.562 0.250
Te: 0.562 0.438 0.750
S: 0.111 0.889 0.016
S: 0.111 0.889 0.484
S: 0.889 0.111 0.516
S: 0.889 0.111 0.984

Main lines, sorted by position (2θ = 10–90°):
2θ/deg	I/Imax
12.61	100
17.23	22
26.84	21
28.94	37
33.06	43
34.22	58
34.86	46
39.50	21
42.50	30
48.80	27


# 4
Calculated powder diffraction line list
Compound: Rb2AgCl3F
Radiation: Cu Ka
Structure: DFT lattice parameters and positions (PBE)

Atomic structure:
Unit cell a=4.093 b=7.071 c=7.071 alpha=82.62 beta=90.00 gamma=90.00
Fractional coordinates of all 7 atoms:
Rb: 0.000 0.216 0.784
Rb: 0.000 0.784 0.216
Ag: 0.500 0.256 0.256
Cl: 0.500 0.484 0.484
Cl: 0.500 0.511 0.988
Cl: 0.500 0.988 0.511
F: 0.500 0.050 0.050

Main lines, sorted by position (2θ = 10–90°):
2θ/deg	I/Imax
12.62	91
25.19	46
25.40	27
27.51	100
29.01	60
29.92	29
33.71	83
38.56	35
45.09	31
52.16	27


# 5
Calculated powder diffraction line list
Compound: DyYAg2As4
Radiation: Cu Ka
Structure: DFT lattice parameters and positions (PBE)

Atomic structure:
Unit cell a=3.994 b=3.994 c=10.307 alpha=90.00 beta=90.00 gamma=90.00
Fractional coordinates of all 8 atoms:
Dy: 0.000 0.000 0.000
Y: 0.500 0.500 0.549
Ag: 0.000 0.500 0.274
Ag: 0.500 0.000 0.274
As: 0.000 0.000 0.463
As: 0.000 0.500 0.775
As: 0.500 0.000 0.775
As: 0.500 0.500 0.085

Main lines, sorted by position (2θ = 10–90°):
2θ/deg	I/Imax
28.27	14
34.82	18
36.27	100
41.71	12
45.41	30
58.47	21
63.36	13
66.17	10
77.01	11
77.87	22


# 6
Calculated powder diffraction line list
Compound: Dy2Se3
Radiation: Cu Ka
Structure: DFT lattice parameters and positions (PBE)

Atomic structure:
Unit cell a=13.524 b=12.912 c=7.077 alpha=79.31 beta=69.74 gamma=30.94
Fractional coordinates of all 20 atoms:
Dy: 0.041 0.041 0.209
Dy: 0.128 0.128 0.622
Dy: 0.209 0.209 0.041
Dy: 0.378 0.378 0.872
Dy: 0.622 0.622 0.128
Dy: 0.791 0.791 0.959
Dy: 0.872 0.872 0.378
Dy: 0.959 0.959 0.791
Se: 0.050 0.538 0.195
Se: 0.117 0.633 0.633
Se: 0.195 0.717 0.050
Se: 0.283 0.805 0.462
Se: 0.367 0.883 0.883
Se: 0.462 0.950 0.283
Se: 0.538 0.050 0.717
Se: 0.633 0.117 0.117
Se: 0.717 0.195 0.538
Se: 0.805 0.283 0.950
Se: 0.883 0.367 0.367
Se: 0.950 0.462 0.805

Main lines, sorted by position (2θ = 10–90°):
2θ/deg	I/Imax
13.71	47
22.50	16
30.86	100
31.07	50
43.99	19
44.37	91
54.84	21
55.19	19
73.13	16
73.47	16